Structure and calculated powder XRD pattern of BeRe2B (a GGA-PBE-relaxed structure; CuKα).
Lines closer than 0.1° are merged.

Peak list (4 most intense, 2θ from 5° to 70°, in order of rising 2θ)
two_theta  I (rel.)
32.08  100
46.00  87
57.19  27
67.09  14

Crystal structure
```
data_BeRe2B
_space_group_name_H-M_alt 'P 1'
_space_group_IT_number 1
_cell_length_a 3.9457
_cell_length_b 3.9457
_cell_length_c 3.9457
_cell_angle_alpha 60.00
_cell_angle_beta 60.00
_cell_angle_gamma 60.00
loop_
_space_group_symop_operation_xyz
'x,y,z'
loop_
_atom_site_label
_atom_site_type_symbol
_atom_site_fract_x
_atom_site_fract_y
_atom_site_fract_z
_atom_site_occupancy
Be1 Be 0.0000 0.0000 0.0000 1
Re1 Re 0.2500 0.2500 0.2500 1
Re2 Re 0.7500 0.7500 0.7500 1
B1 B 0.5000 0.5000 0.5000 1
```

Structure and calculated powder XRD pattern of Be16Re2B (a GGA-PBE-relaxed structure; CuKα).
Lines closer than 0.1° are merged.

Peak list (6 most intense, 2θ from 5° to 70°, in order of rising 2θ)
two_theta  I (rel.)
16.55  65
24.75  100
25.51  31
35.84  87
43.57  30
51.17  41

Crystal structure
```
data_Be16Re2B
_space_group_name_H-M_alt 'P 1'
_space_group_IT_number 1
_cell_length_a 5.4270
_cell_length_b 5.4270
_cell_length_c 5.4270
_cell_angle_alpha 83.05
_cell_angle_beta 83.05
_cell_angle_gamma 83.05
loop_
_space_group_symop_operation_xyz
'x,y,z'
loop_
_atom_site_label
_atom_site_type_symbol
_atom_site_fract_x
_atom_site_fract_y
_atom_site_fract_z
_atom_site_occupancy
Be1 Be 0.0003 0.3060 0.6937 1
Be2 Be 0.0003 0.6937 0.3060 1
Be3 Be 0.0912 0.0912 0.0912 1
Be4 Be 0.1597 0.6509 0.6509 1
Be5 Be 0.3060 0.0003 0.6937 1
Be6 Be 0.3060 0.6937 0.0003 1
Be7 Be 0.3489 0.3489 0.8392 1
Be8 Be 0.3489 0.8392 0.3489 1
Be9 Be 0.5034 0.9978 0.9977 1
Be10 Be 0.6509 0.1597 0.6509 1
Be11 Be 0.6509 0.6509 0.1597 1
Be12 Be 0.6937 0.0003 0.3060 1
Be13 Be 0.6937 0.3060 0.0003 1
Be14 Be 0.8392 0.3489 0.3489 1
Be15 Be 0.9977 0.5034 0.9977 1
Be16 Be 0.9977 0.9977 0.5034 1
Re1 Re 0.3400 0.3400 0.3400 1
Re2 Re 0.6664 0.6664 0.6664 1
B1 B 0.8894 0.8894 0.8894 1
```

Structure and calculated powder XRD pattern of BeBRu3 (a GGA-PBE-relaxed structure; CuKα).
Lines closer than 0.1° are merged.

Peak list (6 most intense, 2θ from 5° to 70°, in order of rising 2θ)
two_theta  I (rel.)
22.15  39
31.53  22
38.87  100
45.19  53
50.88  16
65.83  34

Crystal structure
```
data_BeBRu3
_space_group_name_H-M_alt 'P 1'
_space_group_IT_number 1
_cell_length_a 4.0129
_cell_length_b 4.0129
_cell_length_c 4.0129
_cell_angle_alpha 90.00
_cell_angle_beta 90.00
_cell_angle_gamma 90.00
loop_
_space_group_symop_operation_xyz
'x,y,z'
loop_
_atom_site_label
_atom_site_type_symbol
_atom_site_fract_x
_atom_site_fract_y
_atom_site_fract_z
_atom_site_occupancy
Be1 Be 0.0000 0.0000 0.0000 1
B1 B 0.5000 0.5000 0.5000 1
Ru1 Ru 0.0000 0.5000 0.5000 1
Ru2 Ru 0.5000 0.0000 0.5000 1
Ru3 Ru 0.5000 0.5000 0.0000 1
```